For La5Sm5Mg2, a cell relaxed with PBE gives the computed PXRD pattern in this record (copper Kα).

Crystal structure
```
La5Sm5Mg2
1.0
9.1471 -1.8761 0.0000
9.1471 1.8761 0.0000
-6.2485 0.0000 11.7703
La Sm Mg
5 5 2
direct
0.0000 0.0000 0.0000
0.1197 0.1197 0.7549
0.1623 0.1623 0.4901
0.8377 0.8377 0.5099
0.8803 0.8803 0.2451
0.2042 0.2042 0.2551
0.3284 0.3284 0.9879
0.5000 0.5000 0.5000
0.6716 0.6716 0.0121
0.7958 0.7958 0.7449
0.4598 0.4598 0.7566
0.5402 0.5402 0.2434
```

The 10 most intense peaks (15 to 90 degrees two-theta), by intensity:
31.77°, intensity 100; 31.96°, intensity 99; 30.38°, intensity 85; 29.29°, intensity 28; 51.11°, intensity 27; 58.33°, intensity 26; 48.53°, intensity 23; 54.74°, intensity 21; 32.91°, intensity 20; 55.10°, intensity 19

---

For La9SmMg2, a cell relaxed with PBE gives the computed PXRD pattern in this record (copper Kα).

Crystal structure
```
La9SmMg2
1.0
5.1670 0.0000 0.0000
0.0000 5.1670 0.0000
0.0000 0.0000 15.4653
La Sm Mg
9 1 2
direct
0.0000 0.0000 0.0000
0.0000 0.0000 0.3346
0.0000 0.0000 0.6654
0.0000 0.5000 0.1694
0.0000 0.5000 0.5000
0.0000 0.5000 0.8306
0.5000 0.0000 0.1694
0.5000 0.0000 0.5000
0.5000 0.0000 0.8306
0.5000 0.5000 0.0000
0.5000 0.5000 0.3362
0.5000 0.5000 0.6638
```

The 10 most intense peaks (15 to 90 degrees two-theta), by intensity:
29.98°, intensity 100; 34.75°, intensity 51; 49.96°, intensity 36; 59.33°, intensity 29; 81.21°, intensity 17; 59.44°, intensity 14; 62.29°, intensity 12; 83.73°, intensity 11; 17.17°, intensity 6; 24.38°, intensity 5

---

For La4Tb2SmMg, a cell relaxed with PBE gives the computed PXRD pattern in this record (copper Kα).

Crystal structure
```
La4Tb2SmMg
1.0
6.2182 0.0000 0.0000
0.0000 7.3144 0.0000
-1.8855 0.0000 5.9340
La Tb Sm Mg
4 2 1 1
direct
0.0000 0.0000 0.0000
0.0000 0.4935 0.0000
0.5000 0.0006 0.5000
0.5000 0.4954 0.5000
0.0000 0.7470 0.5000
0.5000 0.2475 0.0000
0.5000 0.7477 0.0000
0.0000 0.2473 0.5000
```

The 10 most intense peaks (15 to 90 degrees two-theta), by intensity:
30.14°, intensity 100; 30.23°, intensity 99; 34.61°, intensity 69; 50.61°, intensity 47; 35.76°, intensity 32; 59.22°, intensity 29; 59.38°, intensity 29; 60.83°, intensity 27; 49.63°, intensity 12; 62.67°, intensity 12

---

For La2Mg16Sn, a cell relaxed with PBE gives the computed PXRD pattern in this record (copper Kα).

Crystal structure
```
La2Mg16Sn
1.0
5.1751 2.9878 5.0703
-5.1751 2.9878 5.0703
0.0000 -5.9756 5.0703
La Mg Sn
2 16 1
direct
0.0000 0.0000 0.0000
0.3449 0.3449 0.3449
0.0200 0.0200 0.5141
0.0200 0.5141 0.0200
0.1705 0.6733 0.6733
0.3210 0.3210 0.8390
0.3210 0.8390 0.3210
0.3668 0.6731 0.9781
0.3668 0.9781 0.6731
0.5141 0.0200 0.0200
0.6733 0.1705 0.6733
0.6731 0.3668 0.9781
0.6733 0.6733 0.1705
0.6731 0.9781 0.3668
0.7653 0.7653 0.7653
0.8390 0.3210 0.3210
0.9781 0.3668 0.6731
0.9781 0.6731 0.3668
0.5701 0.5701 0.5701
```

The 10 most intense peaks (15 to 90 degrees two-theta), by intensity:
34.85°, intensity 100; 17.13°, intensity 98; 29.91°, intensity 87; 34.67°, intensity 84; 24.58°, intensity 71; 35.45°, intensity 47; 35.67°, intensity 38; 39.82°, intensity 32; 15.28°, intensity 31; 62.14°, intensity 30

---

For La3Mg7Sn4, a cell relaxed with PBE gives the computed PXRD pattern in this record (copper Kα).

Crystal structure
```
La3Mg7Sn4
1.0
8.7550 -2.3527 0.0000
8.7550 2.3527 0.0000
-6.2630 0.0000 8.9607
La Mg Sn
3 7 4
direct
0.0000 0.0000 0.0000
0.3079 0.3079 0.3029
0.6921 0.6921 0.6971
0.0000 0.0000 0.5000
0.1553 0.1553 0.4324
0.3229 0.3229 0.9789
0.4913 0.4913 0.6863
0.5087 0.5087 0.3137
0.6771 0.6771 0.0211
0.8447 0.8447 0.5676
0.1197 0.1197 0.8394
0.3470 0.3470 0.7368
0.6530 0.6530 0.2632
0.8803 0.8803 0.1606
```

The 10 most intense peaks (15 to 90 degrees two-theta), by intensity:
38.28°, intensity 100; 30.67°, intensity 91; 31.08°, intensity 84; 31.93°, intensity 79; 19.81°, intensity 59; 26.57°, intensity 54; 31.83°, intensity 40; 23.77°, intensity 35; 32.83°, intensity 33; 24.31°, intensity 30

---

For LaMg6Sn2, a cell relaxed with PBE gives the computed PXRD pattern in this record (copper Kα).

Crystal structure
```
LaMg6Sn2
1.0
4.5362 0.0000 0.0000
0.0000 4.5362 0.0000
0.0000 0.0000 11.0093
La Mg Sn
1 6 2
direct
0.0000 0.0000 0.0000
0.0000 0.0000 0.5000
0.0000 0.5000 0.2969
0.0000 0.5000 0.7031
0.5000 0.0000 0.2969
0.5000 0.0000 0.7031
0.5000 0.5000 0.5000
0.5000 0.5000 0.1305
0.5000 0.5000 0.8695
```

The 10 most intense peaks (15 to 90 degrees two-theta), by intensity:
31.35°, intensity 100; 28.99°, intensity 91; 38.25°, intensity 79; 39.74°, intensity 71; 27.81°, intensity 69; 32.30°, intensity 58; 56.34°, intensity 52; 51.47°, intensity 51; 25.44°, intensity 38; 45.81°, intensity 26

---

For La3MgSn, a cell relaxed with PBE gives the computed PXRD pattern in this record (copper Kα).

Crystal structure
```
La3MgSn
1.0
5.2347 0.0000 0.0000
-2.6111 6.7167 0.0000
-0.0030 -2.0254 9.0802
La Mg Sn
6 2 2
direct
0.0480 0.0934 0.3280
0.2475 0.4938 0.7051
0.4429 0.8855 0.1201
0.5571 0.1145 0.8799
0.7525 0.5062 0.2949
0.9520 0.9066 0.6720
0.1750 0.3510 0.0464
0.8250 0.6490 0.9536
0.3801 0.7606 0.4443
0.6199 0.2394 0.5557
```

The 10 most intense peaks (15 to 90 degrees two-theta), by intensity:
29.91°, intensity 100; 33.59°, intensity 43; 34.26°, intensity 28; 46.13°, intensity 19; 45.00°, intensity 12; 58.66°, intensity 12; 50.67°, intensity 12; 57.75°, intensity 11; 27.95°, intensity 11; 26.75°, intensity 9

---

For La3MgSn3, a cell relaxed with PBE gives the computed PXRD pattern in this record (copper Kα).

Crystal structure
```
La3MgSn3
1.0
9.6300 0.0000 0.0000
-4.8150 8.3398 0.0000
0.0000 0.0000 6.5108
La Mg Sn
6 2 6
direct
0.0488 0.3551 0.2500
0.3064 0.9512 0.2500
0.3551 0.3064 0.7500
0.6449 0.6936 0.2500
0.6936 0.0488 0.7500
0.9512 0.6449 0.7500
0.3333 0.6667 0.7500
0.6667 0.3333 0.2500
0.0434 0.3594 0.7500
0.3159 0.9566 0.7500
0.3594 0.3159 0.2500
0.6407 0.6841 0.7500
0.6841 0.0434 0.2500
0.9566 0.6407 0.2500
```

The 10 most intense peaks (15 to 90 degrees two-theta), by intensity:
18.43°, intensity 100; 32.20°, intensity 98; 42.77°, intensity 90; 27.40°, intensity 73; 28.31°, intensity 47; 33.22°, intensity 47; 39.81°, intensity 38; 66.57°, intensity 25; 65.84°, intensity 24; 69.02°, intensity 20

---

For La5Mg2Sn, a cell relaxed with PBE gives the computed PXRD pattern in this record (copper Kα).

Crystal structure
```
La5Mg2Sn
1.0
8.2302 0.0000 0.0000
0.0000 8.2302 0.0000
0.0000 0.0000 7.5618
La Mg Sn
10 4 2
direct
0.0000 0.0000 0.0000
0.2502 0.2502 0.2493
0.2498 0.2498 0.7493
0.2502 0.7498 0.2493
0.2498 0.7502 0.7493
0.5000 0.5000 0.5000
0.7498 0.2502 0.2493
0.7502 0.2498 0.7493
0.7498 0.7498 0.2493
0.7502 0.7502 0.7493
0.0000 0.5000 0.4994
0.0000 0.5000 0.9994
0.5000 0.0000 0.4994
0.5000 0.0000 0.9994
0.0000 0.0000 0.4989
0.5000 0.5000 0.9989
```

The 10 most intense peaks (15 to 90 degrees two-theta), by intensity:
32.15°, intensity 100; 30.73°, intensity 56; 55.54°, intensity 42; 44.01°, intensity 21; 58.20°, intensity 18; 15.22°, intensity 17; 67.25°, intensity 12; 89.75°, intensity 11; 21.60°, intensity 10; 72.66°, intensity 9

---

For LaMg6Sn, a cell relaxed with PBE gives the computed PXRD pattern in this record (copper Kα).

Crystal structure
```
LaMg6Sn
1.0
5.2136 0.0000 0.0000
0.0000 6.5086 0.0000
0.0000 0.0000 12.0197
La Mg Sn
2 12 2
direct
0.0000 0.0000 0.0000
0.0000 0.5000 0.5000
0.0000 0.2490 0.7465
0.0000 0.2510 0.2465
0.0000 0.7490 0.2465
0.0000 0.7510 0.7465
0.5000 0.0000 0.1673
0.5000 0.0000 0.6483
0.5000 0.2495 0.8965
0.5000 0.2505 0.3965
0.5000 0.5000 0.1483
0.5000 0.5000 0.6673
0.5000 0.7495 0.3965
0.5000 0.7505 0.8965
0.0000 0.0000 0.4869
0.0000 0.5000 0.9869
```

The 10 most intense peaks (15 to 90 degrees two-theta), by intensity:
35.79°, intensity 100; 34.43°, intensity 98; 22.58°, intensity 55; 17.01°, intensity 50; 31.26°, intensity 46; 47.16°, intensity 28; 67.92°, intensity 27; 44.56°, intensity 24; 61.68°, intensity 22; 32.43°, intensity 21

---

For Sr2LaMg9, a cell relaxed with PBE gives the computed PXRD pattern in this record (copper Kα).

Crystal structure
```
Sr2LaMg9
1.0
3.1349 1.8099 10.1543
-3.1349 1.8099 10.1543
0.0000 -3.6199 10.1543
Sr La Mg
2 1 9
direct
0.1417 0.1417 0.1417
0.8583 0.8583 0.8583
0.0000 0.0000 0.0000
0.0796 0.5815 0.5815
0.3338 0.3338 0.3338
0.4185 0.4185 0.9204
0.4185 0.9204 0.4185
0.5000 0.5000 0.5000
0.5815 0.0796 0.5815
0.5815 0.5815 0.0796
0.6662 0.6662 0.6662
0.9204 0.4185 0.4185
```

The 10 most intense peaks (15 to 90 degrees two-theta), by intensity:
33.59°, intensity 100; 26.25°, intensity 61; 28.47°, intensity 58; 28.63°, intensity 41; 16.58°, intensity 40; 33.13°, intensity 37; 53.77°, intensity 36; 50.48°, intensity 28; 49.08°, intensity 21; 58.92°, intensity 19

---

For SrLa3Mg, a cell relaxed with PBE gives the computed PXRD pattern in this record (copper Kα).

Crystal structure
```
SrLa3Mg
1.0
6.0588 0.0000 0.0000
0.0000 6.0588 0.0000
0.0000 0.0000 6.0588
Sr La Mg
1 3 1
direct
0.0000 0.0000 0.0000
0.0000 0.5000 0.5000
0.5000 0.0000 0.5000
0.5000 0.5000 0.0000
0.5000 0.5000 0.5000
```

The 10 most intense peaks (15 to 90 degrees two-theta), by intensity:
25.46°, intensity 100; 29.49°, intensity 64; 42.19°, intensity 48; 49.92°, intensity 48; 69.37°, intensity 22; 67.37°, intensity 19; 52.31°, intensity 17; 77.12°, intensity 16; 82.78°, intensity 15; 61.19°, intensity 8